Entry 1:
Structure and theoretical XRD peak list of BaCa3O4 (a GGA-PBE-relaxed structure; Cu Kα (λ = 1.5418 Å)).
No peak broadening, texture or thermal motion is included.

Crystal structure
a b c (Å): 5.1082 5.1082 5.1082
angles (deg): 90.00 90.00 90.00
Fractional positions:
Ba: 0.0000 0.0000 0.0000
Ca: 0.0000 0.5000 0.5000
Ca: 0.5000 0.0000 0.5000
Ca: 0.5000 0.5000 0.0000
O: 0.0000 0.0000 0.5000
O: 0.0000 0.5000 0.0000
O: 0.5000 0.0000 0.0000
O: 0.5000 0.5000 0.5000

Top 8 peaks for 10 to 90 degrees two-theta, by angle:
Position (°2θ)	I (rel.)
17.4	41
24.6	37
30.3	68
35.1	100
39.4	22
50.5	64
60.1	31
84.9	25

Entry 2:
Structure and theoretical XRD peak list of Nd2CoSn4 (a GGA-PBE-relaxed structure; Cu Kα (λ = 1.5418 Å)).
No peak broadening, texture or thermal motion is included.

Crystal structure
a b c (Å): 4.5659 8.8110 8.8110
angles (deg): 29.99 90.00 90.00
Fractional positions:
Nd: 0.0000 0.0000 0.0000
Nd: 0.5000 0.2057 0.2057
Co: 0.5000 0.4077 0.4077
Sn: 0.0000 0.3462 0.3462
Sn: 0.0000 0.6693 0.6693
Sn: 0.5000 0.5534 0.5534
Sn: 0.5000 0.8448 0.8448

Top 8 peaks for 10 to 90 degrees two-theta, by angle:
Position (°2θ)	I (rel.)
31.5	16
31.9	100
37.3	13
39.5	41
51.4	17
56.4	9
57.1	14
66.9	25

Entry 3:
Structure and theoretical XRD peak list of Ti2MnTc (a GGA-PBE-relaxed structure; Cu Kα (λ = 1.5418 Å)).
No peak broadening, texture or thermal motion is included.

Crystal structure
a b c (Å): 4.3256 4.3256 4.3256
angles (deg): 60.00 60.00 60.00
Fractional positions:
Ti: 0.2500 0.2500 0.2500
Ti: 0.7500 0.7500 0.7500
Mn: 0.0000 0.0000 0.0000
Tc: 0.5000 0.5000 0.5000

Top 8 peaks for 10 to 90 degrees two-theta, by angle:
Position (°2θ)	I (rel.)
25.2	8
29.2	8
41.8	100
49.4	4
51.8	2
60.5	15
68.6	3
76.3	30